Calculated XRD peak list
Compound: Tl4Te
Radiation: Cu Kα (weighted mean of Kα1 and Kα2)
Structure: the PBE geometry in Alexandria
No peak broadening, texture or thermal motion is included.

Structural model:
a = 12.073 Å, b = 4.419 Å, c = 8.495 Å
α = 90.00°, β = 134.59°, γ = 90.00°
Sites, in units of the cell vectors:
Tl 0.097 0.000 0.385
Tl 0.213 0.500 0.810
Tl 0.287 0.000 0.190
Tl 0.403 0.500 0.615
Tl 0.597 0.500 0.385
Tl 0.713 0.000 0.810
Tl 0.787 0.500 0.190
Tl 0.903 0.000 0.615
Te 0.000 0.500 0.000
Te 0.500 0.000 0.000

Most intense lines, 10° ≤ 2θ ≤ 90°, in order of falling intensity:
2theta, intensity, index
30.85, 100, 1 1 1
31.02, 99, 3 1 -2
33.01, 43, 4 0 -1
33.29, 42, 2 0 -3
57.84, 33, 7 1 -3
40.84, 24, 0 2 0
53.48, 22, 4 2 -1
53.67, 22, 2 2 -3